Co2Ru: simulated powder diffraction line list (Cu Kα X-rays), based on a crystal structure in Alexandria, relaxed with GGA-PBE.

Principal peaks in the range 2θ = 10–90°, low angle first:
20.97°, 4.236 Å, rel. 33; 27.29°, 3.268 Å, rel. 15; 29.24°, 3.054 Å, rel. 23; 32.56°, 2.750 Å, rel. 34; 38.59°, 2.333 Å, rel. 13; 43.48°, 2.081 Å, rel. 1000; 50.48°, 1.808 Å, rel. 158; 50.72°, 1.800 Å, rel. 311; 74.37°, 1.275 Å, rel. 186; 74.57°, 1.273 Å, rel. 92

Structure:
```
Co2Ru
1.0
5.0905 0.0000 0.0000
0.0000 3.6156 0.0000
0.0000 0.0000 7.6363
Co Ru
8 4
Direct
0.1230 0.2500 0.0838
0.1230 0.2500 0.7495
0.3770 0.7500 0.2495
0.3770 0.7500 0.5838
0.6230 0.2500 0.4162
0.6230 0.2500 0.7505
0.8770 0.7500 0.2505
0.8770 0.7500 0.9162
0.1312 0.2500 0.4161
0.3688 0.7500 0.9161
0.6312 0.2500 0.0839
0.8688 0.7500 0.5839
```

***

CoSb6Ru: simulated powder diffraction line list (Cu Kα X-rays), based on a crystal structure in Alexandria, relaxed with GGA-PBE.

Principal peaks in the range 2θ = 10–90°, low angle first:
13.55°, 6.537 Å, rel. 149; 19.19°, 4.626 Å, rel. 178; 30.52°, 2.929 Å, rel. 737; 30.59°, 2.922 Å, rel. 1000; 36.25°, 2.478 Å, rel. 270; 36.37°, 2.470 Å, rel. 293; 43.77°, 2.068 Å, rel. 357; 48.28°, 1.885 Å, rel. 196; 50.37°, 1.812 Å, rel. 191; 58.20°, 1.585 Å, rel. 184

Structure:
```
CoSb6Ru
1.0
6.5244 -4.6213 0.0000
6.5244 4.6213 0.0000
-6.5147 0.0000 6.5648
Co Sb Ru
2 12 2
Direct
0.0000 0.5000 0.0000
0.5000 0.0000 0.0000
0.1526 0.8363 0.1584
0.1637 0.8474 0.8416
0.1773 0.5068 0.3365
0.3301 0.3301 0.9913
0.3404 0.3404 0.6848
0.4932 0.8227 0.6635
0.5068 0.1773 0.3365
0.6596 0.6596 0.3152
0.6699 0.6699 0.0087
0.8227 0.4932 0.6635
0.8363 0.1526 0.1584
0.8474 0.1637 0.8416
0.0000 0.5000 0.5000
0.5000 0.0000 0.5000
```

***

CoSb2Ru: simulated powder diffraction line list (Cu Kα X-rays), based on a crystal structure in Alexandria, relaxed with GGA-PBE.

Principal peaks in the range 2θ = 10–90°, low angle first:
13.42°, 6.599 Å, rel. 487; 22.91°, 3.882 Å, rel. 221; 27.02°, 3.300 Å, rel. 269; 35.32°, 2.541 Å, rel. 310; 38.92°, 2.314 Å, rel. 1000; 40.77°, 2.213 Å, rel. 356; 44.61°, 2.031 Å, rel. 224; 45.88°, 1.978 Å, rel. 153; 58.15°, 1.587 Å, rel. 143; 78.36°, 1.220 Å, rel. 124

Structure:
```
CoSb2Ru
1.0
-1.5564 2.0310 6.5990
1.5564 -2.0310 6.5990
1.5564 2.0310 -6.5990
Co Sb Ru
1 2 1
Direct
0.0000 0.0000 0.0000
0.5570 0.5570 0.0000
0.8109 0.3109 0.5000
0.3815 0.8815 0.5000
```

***

Sc2CoRu3: simulated powder diffraction line list (Cu Kα X-rays), based on a crystal structure in Alexandria, relaxed with GGA-PBE.

Principal peaks in the range 2θ = 10–90°, low angle first:
21.20°, 4.192 Å, rel. 489; 21.53°, 4.128 Å, rel. 515; 41.18°, 2.192 Å, rel. 798; 41.36°, 2.183 Å, rel. 845; 41.73°, 2.165 Å, rel. 414; 43.16°, 2.096 Å, rel. 1000; 43.86°, 2.064 Å, rel. 316; 50.48°, 1.808 Å, rel. 369; 73.67°, 1.286 Å, rel. 291; 74.67°, 1.271 Å, rel. 279

Structure:
```
Sc2CoRu3
1.0
2.5720 1.4849 4.1280
-2.5720 1.4849 4.1280
0.0000 -2.9698 4.1280
Sc Co Ru
2 1 3
Direct
0.1248 0.1248 0.1248
0.8752 0.8752 0.8752
0.5000 0.5000 0.5000
0.0000 0.5000 0.5000
0.5000 0.0000 0.5000
0.5000 0.5000 0.0000
```

***

CoRu2Se: simulated powder diffraction line list (Cu Kα X-rays), based on a crystal structure in Alexandria, relaxed with GGA-PBE.

Principal peaks in the range 2θ = 10–90°, low angle first:
10.92°, 8.102 Å, rel. 86; 39.75°, 2.268 Å, rel. 1000; 41.35°, 2.184 Å, rel. 32; 44.74°, 2.026 Å, rel. 227; 47.76°, 1.904 Å, rel. 574; 66.23°, 1.411 Å, rel. 212; 73.38°, 1.290 Å, rel. 145; 80.10°, 1.198 Å, rel. 122; 83.49°, 1.158 Å, rel. 218; 85.68°, 1.134 Å, rel. 102

Structure:
```
CoRu2Se
1.0
1.4111 0.8147 8.1021
-1.4111 0.8147 8.1021
0.0000 -1.6294 8.1021
Co Ru Se
1 2 1
Direct
0.0000 0.0000 0.0000
0.5045 0.5045 0.5045
0.7527 0.7527 0.7527
0.2583 0.2583 0.2583
```

***

CoRu2Se: simulated powder diffraction line list (Cu Kα X-rays), based on a crystal structure in Alexandria, relaxed with GGA-PBE.

Principal peaks in the range 2θ = 10–90°, low angle first:
10.19°, 8.682 Å, rel. 114; 38.13°, 2.360 Å, rel. 346; 41.61°, 2.171 Å, rel. 262; 42.56°, 2.124 Å, rel. 1000; 57.70°, 1.598 Å, rel. 194; 65.68°, 1.422 Å, rel. 67; 71.95°, 1.312 Å, rel. 201; 76.59°, 1.244 Å, rel. 161; 78.55°, 1.218 Å, rel. 79; 80.82°, 1.189 Å, rel. 71

Structure:
```
CoRu2Se
1.0
1.4215 -2.3603 0.0000
1.4215 2.3603 0.0000
0.0000 0.0000 8.6821
Co Ru Se
1 2 1
Direct
0.0000 0.0000 0.0000
0.0000 0.0000 0.5062
0.5000 0.5000 0.7603
0.5000 0.5000 0.2431
```

***

CoSi2Ru: simulated powder diffraction line list (Cu Kα X-rays), based on a crystal structure in Alexandria, relaxed with GGA-PBE.

Principal peaks in the range 2θ = 10–90°, low angle first:
26.85°, 3.320 Å, rel. 423; 33.28°, 2.692 Å, rel. 387; 35.09°, 2.557 Å, rel. 264; 38.84°, 2.319 Å, rel. 279; 42.10°, 2.146 Å, rel. 1000; 43.70°, 2.071 Å, rel. 543; 45.37°, 1.999 Å, rel. 267; 45.75°, 1.983 Å, rel. 379; 47.36°, 1.919 Å, rel. 821; 65.61°, 1.423 Å, rel. 183

Structure:
```
CoSi2Ru
1.0
4.2847 -1.4232 0.0000
4.2847 1.4232 0.0000
-1.0481 0.0000 3.9673
Co Si Ru
1 2 1
Direct
0.0000 0.0000 0.0000
0.2616 0.2616 0.8921
0.5096 0.5096 0.5214
0.7705 0.7705 0.3973
```

***

TmCoSi2Ru: simulated powder diffraction line list (Cu Kα X-rays), based on a crystal structure in Alexandria, relaxed with GGA-PBE.

Principal peaks in the range 2θ = 10–90°, low angle first:
24.07°, 3.697 Å, rel. 476; 35.78°, 2.510 Å, rel. 449; 36.81°, 2.442 Å, rel. 1000; 37.20°, 2.417 Å, rel. 169; 45.33°, 2.001 Å, rel. 380; 52.57°, 1.741 Å, rel. 143; 59.04°, 1.564 Å, rel. 211; 60.03°, 1.541 Å, rel. 165; 66.82°, 1.400 Å, rel. 176; 78.07°, 1.224 Å, rel. 216

Structure:
```
TmCoSi2Ru
1.0
-2.0007 2.0007 4.8338
2.0007 -2.0007 4.8338
2.0007 2.0007 -4.8338
Tm Co Si Ru
1 1 2 1
Direct
0.0000 0.0000 0.0000
0.2500 0.7500 0.5000
0.3728 0.3728 0.0000
0.6272 0.6272 0.0000
0.7500 0.2500 0.5000
```

***

Ta2CoRu: simulated powder diffraction line list (Cu Kα X-rays), based on a crystal structure in Alexandria, relaxed with GGA-PBE.

Principal peaks in the range 2θ = 10–90°, low angle first:
28.08°, 3.178 Å, rel. 549; 36.93°, 2.434 Å, rel. 610; 37.51°, 2.397 Å, rel. 845; 37.92°, 2.373 Å, rel. 1000; 40.11°, 2.248 Å, rel. 267; 42.96°, 2.105 Å, rel. 421; 43.13°, 2.098 Å, rel. 619; 45.79°, 1.981 Å, rel. 389; 46.83°, 1.940 Å, rel. 275; 58.05°, 1.589 Å, rel. 327

Structure:
```
Ta2CoRu
1.0
3.0378 0.0000 0.0000
0.0000 4.1951 0.0000
-1.3873 0.0000 4.8683
Ta Co Ru
2 1 1
Direct
0.0000 0.0000 0.0000
0.2724 0.5000 0.5832
0.5426 0.5000 0.0940
0.7143 0.0000 0.4620
```

***

Ta4CoRu3: simulated powder diffraction line list (Cu Kα X-rays), based on a crystal structure in Alexandria, relaxed with GGA-PBE.

Principal peaks in the range 2θ = 10–90°, low angle first:
26.55°, 3.357 Å, rel. 70; 29.21°, 3.057 Å, rel. 111; 39.88°, 2.260 Å, rel. 1000; 41.78°, 2.162 Å, rel. 439; 50.19°, 1.818 Å, rel. 54; 54.68°, 1.679 Å, rel. 99; 60.57°, 1.529 Å, rel. 146; 71.11°, 1.326 Å, rel. 180; 75.01°, 1.266 Å, rel. 310; 86.02°, 1.130 Å, rel. 110

Structure:
```
Ta4CoRu3
1.0
-2.1619 2.1619 6.7143
2.1619 -2.1619 6.7143
2.1619 2.1619 -6.7143
Ta Co Ru
4 1 3
Direct
0.1230 0.6230 0.5000
0.3770 0.8770 0.5000
0.6230 0.1230 0.5000
0.8770 0.3770 0.5000
0.0000 0.0000 0.0000
0.2501 0.2501 0.0000
0.5000 0.5000 0.0000
0.7499 0.7499 0.0000
```

***

TaCo2Ru: simulated powder diffraction line list (Cu Kα X-rays), based on a crystal structure in Alexandria, relaxed with GGA-PBE.

Principal peaks in the range 2θ = 10–90°, low angle first:
26.48°, 3.365 Å, rel. 300; 41.53°, 2.174 Å, rel. 1000; 43.19°, 2.095 Å, rel. 85; 48.09°, 1.892 Å, rel. 162; 48.45°, 1.879 Å, rel. 317; 56.06°, 1.640 Å, rel. 82; 70.66°, 1.333 Å, rel. 199; 70.95°, 1.328 Å, rel. 98; 85.15°, 1.140 Å, rel. 121; 85.69°, 1.134 Å, rel. 238

Structure:
```
TaCo2Ru
1.0
-1.8787 1.8787 3.7842
1.8787 -1.8787 3.7842
1.8787 1.8787 -3.7842
Ta Co Ru
1 2 1
Direct
0.0000 0.0000 0.0000
0.2500 0.7500 0.5000
0.5000 0.5000 0.0000
0.7500 0.2500 0.5000
```

***

Tb3CoRu2: simulated powder diffraction line list (Cu Kα X-rays), based on a crystal structure in Alexandria, relaxed with GGA-PBE.

Principal peaks in the range 2θ = 10–90°, low angle first:
30.35°, 2.945 Å, rel. 252; 32.65°, 2.742 Å, rel. 296; 33.69°, 2.660 Å, rel. 325; 34.58°, 2.594 Å, rel. 1000; 34.88°, 2.572 Å, rel. 728; 37.97°, 2.370 Å, rel. 230; 39.89°, 2.260 Å, rel. 810; 41.59°, 2.172 Å, rel. 458; 51.69°, 1.768 Å, rel. 242; 63.88°, 1.457 Å, rel. 253

Structure:
```
Tb3CoRu2
1.0
-1.7683 2.1715 7.9813
1.7683 -2.1715 7.9813
1.7683 2.1715 -7.9813
Tb Co Ru
3 1 2
Direct
0.0000 0.0000 0.0000
0.1826 0.6826 0.5000
0.8174 0.3174 0.5000
0.5000 0.5000 0.0000
0.3767 0.8767 0.5000
0.6233 0.1233 0.5000
```